(1)
Structure and simulated powder XRD pattern of CuC2O6 (DFT lattice parameters and positions (PBE); Cu Kα (weighted mean of Kα1 and Kα2)).
Kinematic intensities with the Lorentz-polarization factor, no thermal factor.

Crystal structure
abc: 7.877 8.353 10.754
angles: 90.00 103.23 90.00
Positions (direct):
Cu 0.000 0.000 0.000
Cu 0.000 0.500 0.500
Cu 0.500 0.000 0.500
Cu 0.500 0.500 0.000
C 0.091 0.175 0.321
C 0.091 0.325 0.821
C 0.329 0.641 0.449
C 0.329 0.859 0.949
C 0.671 0.141 0.051
C 0.671 0.359 0.551
C 0.909 0.675 0.179
C 0.909 0.825 0.679
O 0.082 0.096 0.229
O 0.082 0.404 0.729
O 0.097 0.245 0.912
O 0.097 0.255 0.412
O 0.211 0.620 0.497
O 0.211 0.880 0.997
O 0.346 0.545 0.100
O 0.346 0.955 0.600
O 0.446 0.659 0.400
O 0.446 0.841 0.900
O 0.478 0.098 0.345
O 0.478 0.402 0.845
O 0.522 0.598 0.155
O 0.522 0.902 0.655
O 0.554 0.159 0.100
O 0.554 0.341 0.600
O 0.654 0.045 0.400
O 0.654 0.455 0.900
O 0.789 0.120 0.003
O 0.789 0.380 0.503
O 0.903 0.745 0.588
O 0.903 0.755 0.088
O 0.918 0.596 0.271
O 0.918 0.904 0.771

Peak list (6 most intense, 2θ = 5–70°, in order of falling intensity)
2theta, intensity
16.53, 100
19.07, 77
16.94, 58
23.20, 33
22.93, 27
32.35, 24

=====

(2)
Structure and simulated powder XRD pattern of Sr8Y4Cu11CO28 (DFT lattice parameters and positions (PBE); Cu Kα (weighted mean of Kα1 and Kα2)).
Kinematic intensities with the Lorentz-polarization factor, no thermal factor.

Crystal structure
abc: 3.876 13.707 13.707
angles: 112.26 90.00 90.00
Positions (direct):
Sr 0.000 0.089 0.911
Sr 0.000 0.142 0.325
Sr 0.000 0.325 0.142
Sr 0.000 0.378 0.561
Sr 0.000 0.561 0.378
Sr 0.000 0.611 0.796
Sr 0.000 0.796 0.611
Sr 0.000 0.911 0.089
Y 0.000 0.221 0.730
Y 0.000 0.480 0.973
Y 0.000 0.730 0.221
Y 0.000 0.973 0.480
Cu 0.500 0.022 0.679
Cu 0.500 0.114 0.114
Cu 0.500 0.171 0.531
Cu 0.500 0.281 0.928
Cu 0.500 0.351 0.351
Cu 0.500 0.420 0.775
Cu 0.500 0.531 0.171
Cu 0.500 0.591 0.591
Cu 0.500 0.679 0.022
Cu 0.500 0.775 0.420
Cu 0.500 0.928 0.281
C 0.500 0.849 0.849
O 0.000 0.029 0.673
O 0.000 0.107 0.107
O 0.000 0.160 0.542
O 0.000 0.290 0.917
O 0.000 0.352 0.352
O 0.000 0.412 0.785
O 0.000 0.542 0.160
O 0.000 0.602 0.602
O 0.000 0.673 0.029
O 0.000 0.785 0.412
O 0.000 0.917 0.290
O 0.500 0.030 0.195
O 0.500 0.033 0.422
O 0.500 0.153 0.800
O 0.500 0.195 0.030
O 0.500 0.268 0.434
O 0.500 0.279 0.670
O 0.500 0.422 0.033
O 0.500 0.434 0.268
O 0.500 0.506 0.671
O 0.500 0.546 0.905
O 0.500 0.670 0.279
O 0.500 0.671 0.506
O 0.500 0.758 0.857
O 0.500 0.800 0.153
O 0.500 0.857 0.758
O 0.500 0.905 0.546
O 0.500 0.935 0.935

Peak list (6 most intense, 2θ = 5–70°, in order of falling intensity)
2theta, intensity
33.29, 100
33.04, 98
32.92, 92
58.71, 37
46.88, 35
59.40, 30

=====

(3)
Structure and simulated powder XRD pattern of Zn3Cu2C2O12 (DFT lattice parameters and positions (PBE); Cu Kα (weighted mean of Kα1 and Kα2)).
Kinematic intensities with the Lorentz-polarization factor, no thermal factor.

Crystal structure
abc: 5.193 6.056 14.016
angles: 90.00 98.75 90.00
Positions (direct):
Zn 0.089 0.000 0.251
Zn 0.363 0.744 0.630
Zn 0.383 0.746 0.889
Zn 0.617 0.246 0.111
Zn 0.637 0.244 0.370
Zn 0.911 0.500 0.749
Cu 0.091 0.496 0.258
Cu 0.420 0.240 0.741
Cu 0.580 0.740 0.259
Cu 0.909 0.996 0.742
C 0.020 0.252 0.546
C 0.128 0.245 0.053
C 0.872 0.745 0.947
C 0.980 0.752 0.454
O 0.009 0.760 0.674
O 0.072 0.261 0.641
O 0.114 0.751 0.979
O 0.208 0.246 0.498
O 0.213 0.723 0.190
O 0.218 0.226 0.147
O 0.220 0.749 0.491
O 0.251 0.017 0.808
O 0.273 0.468 0.811
O 0.309 0.259 0.001
O 0.429 0.507 0.325
O 0.443 0.979 0.323
O 0.557 0.479 0.677
O 0.571 0.007 0.675
O 0.691 0.759 0.999
O 0.727 0.968 0.189
O 0.749 0.517 0.192
O 0.780 0.249 0.509
O 0.782 0.726 0.853
O 0.787 0.223 0.810
O 0.792 0.746 0.502
O 0.886 0.251 0.021
O 0.928 0.761 0.359
O 0.991 0.260 0.326

Peak list (6 most intense, 2θ = 5–70°, in order of falling intensity)
2theta, intensity
12.78, 100
24.24, 45
34.53, 29
36.58, 29
35.84, 28
32.27, 21